Starting from DFT lattice parameters and positions (GGA-PBE), the powder diffraction line list of SnH8N2Cl6 was computed for Cu Kα.
Lines closer than 0.1° are merged.

```
data_SnH8N2Cl6
_chemical_formula_sum 'Sn4 H32 N8 Cl24'
_space_group_name_H-M_alt 'F m -3 m'
_space_group_IT_number 225
_space_group_name_Hall '-F 4 2 3'
_cell_length_a 10.4079
_cell_length_b 10.4079
_cell_length_c 10.4079
_cell_angle_alpha 90.00
_cell_angle_beta 90.00
_cell_angle_gamma 90.00
loop_
_atom_site_label
_atom_site_type_symbol
_atom_site_fract_x
_atom_site_fract_y
_atom_site_fract_z
Sn1 Sn 0.0000 0.0000 0.0000
H1 H 0.1928 0.1928 0.1928
N1 N 0.2500 0.2500 0.2500
Cl1 Cl 0.0000 0.0000 0.2369
```

Principal peaks in the range 10 to 90 degrees two-theta, in order of falling intensity:
d/Å, I (rel.), hkl
6.009, 100, 1 1 1
5.204, 66, 2 0 0
2.602, 63, 4 0 0
3.138, 41, 3 1 1
1.840, 39, 4 4 0
2.327, 37, 4 2 0
2.003, 25, 5 1 1
1.759, 22, 5 3 1


Starting from DFT lattice parameters and positions (GGA-PBE), the powder diffraction line list of Ba3SrBi2Au was computed for Cu Kα.
Lines closer than 0.1° are merged.

```
data_Ba3SrBi2Au
_chemical_formula_sum 'Ba6 Sr2 Bi4 Au2'
_space_group_name_H-M_alt 'I m m m'
_space_group_IT_number 71
_space_group_name_Hall '-I 2 2'
_cell_length_a 5.8186
_cell_length_b 5.8810
_cell_length_c 18.7312
_cell_angle_alpha 90.00
_cell_angle_beta 90.00
_cell_angle_gamma 90.00
loop_
_atom_site_label
_atom_site_type_symbol
_atom_site_fract_x
_atom_site_fract_y
_atom_site_fract_z
Ba1 Ba 0.0000 0.0000 0.0000
Ba2 Ba 0.0000 0.5000 0.1816
Sr1 Sr 0.0000 0.0000 0.5000
Bi1 Bi 0.0000 0.5000 0.3698
Au1 Au 0.0000 0.5000 0.0000
```

Principal peaks in the range 10 to 90 degrees two-theta, in order of falling intensity:
d/Å, I (rel.), hkl
3.154, 100, 1 0 5
4.136, 95, 1 1 0
2.941, 57, 0 2 0
2.909, 56, 2 0 0
2.140, 50, 0 2 6
3.100, 49, 1 1 4
2.068, 43, 2 2 0
2.149, 39, 1 2 5


Starting from DFT lattice parameters and positions (GGA-PBE), the powder diffraction line list of TbPm2HoN4 was computed for Cu Kα.
Lines closer than 0.1° are merged.

```
data_TbPm2HoN4
_chemical_formula_sum 'Tb1 Pm2 Ho1 N4'
_space_group_name_H-M_alt 'P 1 2/m 1'
_space_group_IT_number 10
_space_group_name_Hall '-P 2y'
_cell_length_a 6.1365
_cell_length_b 3.5450
_cell_length_c 6.1410
_cell_angle_alpha 90.00
_cell_angle_beta 109.42
_cell_angle_gamma 90.00
loop_
_atom_site_label
_atom_site_type_symbol
_atom_site_fract_x
_atom_site_fract_y
_atom_site_fract_z
Tb1 Tb 0.0000 0.0000 0.0000
Pm1 Pm 0.0000 0.5000 0.5000
Pm2 Pm 0.5000 0.0000 0.5000
Ho1 Ho 0.5000 0.5000 0.0000
N1 N 0.2486 0.5000 0.2419
N2 N 0.2542 0.0000 0.7589
```

Principal peaks in the range 10 to 90 degrees two-theta, in order of falling intensity:
d/Å, I (rel.), hkl
2.894, 100, 2 0 0
2.507, 73, 1 1 1
1.772, 50, 2 0 2
1.512, 45, 3 1 1
1.121, 19, 4 2 0
1.447, 17, 4 0 0
1.150, 16, 4 0 2
1.253, 8, 2 2 2


Starting from DFT lattice parameters and positions (GGA-PBE), the powder diffraction line list of Zr2N2O was computed for Cu Kα.
Lines closer than 0.1° are merged.

```
data_Zr2N2O
_chemical_formula_sum 'Zr8 N8 O4'
_space_group_name_H-M_alt 'P 1'
_space_group_IT_number 1
_space_group_name_Hall 'P 1'
_cell_length_a 5.5181
_cell_length_b 5.5718
_cell_length_c 10.3250
_cell_angle_alpha 75.56
_cell_angle_beta 74.95
_cell_angle_gamma 60.76
loop_
_atom_site_label
_atom_site_type_symbol
_atom_site_fract_x
_atom_site_fract_y
_atom_site_fract_z
Zr1 Zr 0.0000 0.0000 0.0000
Zr2 Zr 0.0891 0.1397 0.6748
Zr3 Zr 0.2580 0.2527 0.2508
Zr4 Zr 0.3686 0.3537 0.9266
Zr5 Zr 0.4914 0.4934 0.5000
Zr6 Zr 0.5836 0.6286 0.1751
Zr7 Zr 0.7319 0.7653 0.7490
Zr8 Zr 0.8657 0.8730 0.4237
N1 N 0.0909 0.5117 0.5823
N2 N 0.2566 0.8609 0.3362
N3 N 0.2817 0.6100 0.0910
N4 N 0.3357 0.0531 0.8390
N5 N 0.5553 0.2591 0.3372
N6 N 0.5850 0.0158 0.0837
N7 N 0.7442 0.3586 0.8306
N8 N 0.7904 0.1028 0.5874
O1 O 0.0355 0.7455 0.8450
O2 O 0.4850 0.8038 0.5920
O3 O 0.8503 0.5599 0.3378
O4 O 0.9796 0.3110 0.0894
```

Principal peaks in the range 10 to 90 degrees two-theta, in order of falling intensity:
d/Å, I (rel.), hkl
2.947, 100, 1 1 -2
2.937, 94, 1 0 3
2.920, 87, 0 1 3
2.804, 80, 1 -1 0
2.785, 80, 1 2 1
2.759, 80, 2 1 1
2.048, 39, 0 2 -2
2.015, 36, 2 0 -2


Starting from DFT lattice parameters and positions (GGA-PBE), the powder diffraction line list of SnPd7Au4 was computed for Cu Kα.
Lines closer than 0.1° are merged.

```
data_SnPd7Au4
_chemical_formula_sum 'Sn2 Pd14 Au8'
_space_group_name_H-M_alt 'C 1 2/m 1'
_space_group_IT_number 12
_space_group_name_Hall '-C 2y'
_cell_length_a 10.1216
_cell_length_b 4.9604
_cell_length_c 9.9592
_cell_angle_alpha 90.00
_cell_angle_beta 119.23
_cell_angle_gamma 90.00
loop_
_atom_site_label
_atom_site_type_symbol
_atom_site_fract_x
_atom_site_fract_y
_atom_site_fract_z
Sn1 Sn 0.0000 0.0000 0.0000
Pd1 Pd 0.0000 0.5000 0.0000
Pd2 Pd 0.1145 0.0000 0.4589
Pd3 Pd 0.1543 0.5000 0.6168
Pd4 Pd 0.2191 0.5000 0.9173
Au1 Au 0.0832 0.5000 0.3103
Au2 Au 0.1821 0.0000 0.7698
```

Principal peaks in the range 10 to 90 degrees two-theta, in order of falling intensity:
d/Å, I (rel.), hkl
2.156, 100, 3 1 -4
2.480, 98, 0 2 0
2.178, 97, 1 1 3
2.444, 91, 4 0 -1
1.741, 65, 4 2 -1
1.361, 23, 3 3 -4
1.366, 22, 1 3 3
1.209, 20, 2 2 -7


Starting from DFT lattice parameters and positions (GGA-PBE), the powder diffraction line list of RbLiTe2As was computed for Cu Kα.
Lines closer than 0.1° are merged.

```
data_RbLiTe2As
_chemical_formula_sum 'Rb4 Li4 Te8 As4'
_space_group_name_H-M_alt 'C m m e'
_space_group_IT_number 67
_space_group_name_Hall '-C 2a 2'
_cell_length_a 5.6190
_cell_length_b 16.6088
_cell_length_c 7.0815
_cell_angle_alpha 90.00
_cell_angle_beta 90.00
_cell_angle_gamma 90.00
loop_
_atom_site_label
_atom_site_type_symbol
_atom_site_fract_x
_atom_site_fract_y
_atom_site_fract_z
Rb1 Rb 0.0000 0.2500 0.2328
Li1 Li 0.2500 0.0000 0.5000
Te1 Te 0.0000 0.1134 0.7093
As1 As 0.0000 0.0000 0.0000
```

Principal peaks in the range 10 to 90 degrees two-theta, in order of falling intensity:
d/Å, I (rel.), hkl
3.445, 100, 1 3 1
2.810, 29, 2 0 0
1.722, 23, 3 3 1
2.651, 20, 1 5 1
3.541, 15, 0 0 2
2.025, 15, 1 3 3
3.582, 13, 0 4 1
2.694, 13, 0 4 2


Starting from DFT lattice parameters and positions (GGA-PBE), the powder diffraction line list of Li2Ga6Sn was computed for Cu Kα.
Lines closer than 0.1° are merged.

```
data_Li2Ga6Sn
_chemical_formula_sum 'Li4 Ga12 Sn2'
_space_group_name_H-M_alt 'C 1 m 1'
_space_group_IT_number 8
_space_group_name_Hall 'C -2y'
_cell_length_a 12.6487
_cell_length_b 9.7483
_cell_length_c 2.9959
_cell_angle_alpha 90.00
_cell_angle_beta 102.76
_cell_angle_gamma 90.00
loop_
_atom_site_label
_atom_site_type_symbol
_atom_site_fract_x
_atom_site_fract_y
_atom_site_fract_z
Li1 Li 0.0000 0.0000 0.0000
Li2 Li 0.1584 0.5000 0.6817
Ga1 Ga 0.1639 0.2161 0.1736
Ga2 Ga 0.3292 0.3697 0.3408
Ga3 Ga 0.4946 0.2162 0.5118
Sn1 Sn 0.3293 0.0000 0.3382
```

Principal peaks in the range 10 to 90 degrees two-theta, in order of falling intensity:
d/Å, I (rel.), hkl
2.550, 100, 3 3 0
3.824, 91, 2 2 0
2.900, 71, 2 0 -1
2.922, 68, 0 0 1
2.182, 55, 2 2 1
2.155, 53, 4 2 -1
2.056, 49, 6 0 0
2.606, 37, 4 2 0


Starting from DFT lattice parameters and positions (GGA-PBE), the powder diffraction line list of LiInC was computed for Cu Kα.
Lines closer than 0.1° are merged.

```
data_LiInC
_chemical_formula_sum 'Li4 In4 C4'
_space_group_name_H-M_alt 'C 1 m 1'
_space_group_IT_number 8
_space_group_name_Hall 'C -2y'
_cell_length_a 6.3349
_cell_length_b 3.6376
_cell_length_c 9.3153
_cell_angle_alpha 90.00
_cell_angle_beta 90.58
_cell_angle_gamma 90.00
loop_
_atom_site_label
_atom_site_type_symbol
_atom_site_fract_x
_atom_site_fract_y
_atom_site_fract_z
Li1 Li 0.0000 0.0000 0.0000
Li2 Li 0.1653 0.5000 0.7831
In1 In 0.1715 0.5000 0.2566
In2 In 0.3367 0.0000 0.4997
C1 C 0.3317 0.0000 0.7397
C2 C 0.3365 0.0000 0.8761
```

Principal peaks in the range 10 to 90 degrees two-theta, in order of falling intensity:
d/Å, I (rel.), hkl
2.984, 100, 1 1 1
2.606, 74, 1 1 2
3.008, 45, 2 0 -1
2.618, 43, 1 1 -2
2.218, 41, 1 1 -3
3.155, 32, 1 1 0
1.826, 28, 3 1 0
2.631, 27, 2 0 -2